The following is a theoretical XRD peak list of YPO4. It was derived from a DFT-relaxed cell (PBE, Alexandria), using Cu Kα X-rays.
No peak broadening, texture or thermal motion is included.

Cell and atoms:
Lattice parameters (Å, degrees): 6.9355 6.9355 6.3028 90.00 90.00 120.00
Atoms (fractional coordinates):
Y 0.0000 0.5000 0.1667
Y 0.5000 0.0000 0.5000
Y 0.5000 0.5000 0.8333
P 0.0000 0.5000 0.6667
P 0.5000 0.0000 0.0000
P 0.5000 0.5000 0.3333
O 0.1401 0.4434 0.8186
O 0.1401 0.6966 0.5147
O 0.3034 0.4434 0.1814
O 0.3034 0.8599 0.1520
O 0.4434 0.1401 0.8480
O 0.4434 0.3034 0.4853
O 0.5566 0.6966 0.4853
O 0.5566 0.8599 0.8480
O 0.6966 0.1401 0.1520
O 0.6966 0.5566 0.1814
O 0.8599 0.3034 0.5147
O 0.8599 0.5566 0.8186

The 10 most intense peaks (10° ≤ 2θ ≤ 90°), by angle:
d (Å)	I/Imax
6.006	100.0
4.348	28.5
3.468	20.1
3.003	76.3
2.791	62.3
2.332	16.4
2.136	22.1
1.908	15.0
1.842	41.0
1.690	22.6

The following is a theoretical XRD peak list of YP2O6. It was derived from a DFT-relaxed cell (PBE, Alexandria), using Cu Kα X-rays.
No peak broadening, texture or thermal motion is included.

Cell and atoms:
Lattice parameters (Å, degrees): 6.8746 6.8746 6.8746 48.15 48.15 48.15
Atoms (fractional coordinates):
Y 0.0000 0.0000 0.0000
P 0.6011 0.6011 0.6011
P 0.7314 0.7314 0.7314
O 0.2847 0.6874 0.7914
O 0.4425 0.9525 0.8385
O 0.6874 0.7914 0.2847
O 0.7914 0.2847 0.6874
O 0.8385 0.4425 0.9525
O 0.9525 0.8385 0.4425

The 10 most intense peaks (10° ≤ 2θ ≤ 90°), by angle:
d (Å)	I/Imax
6.064	83.8
4.693	100.0
4.285	61.2
3.320	32.5
2.912	34.0
2.804	33.0
2.545	49.0
2.292	26.9
2.059	29.2
2.020	16.5

The following is a theoretical XRD peak list of Y2PO5. It was derived from a DFT-relaxed cell (PBE, Alexandria), using Cu Kα X-rays.
No peak broadening, texture or thermal motion is included.

Cell and atoms:
Lattice parameters (Å, degrees): 4.0965 9.8885 11.7689 90.00 102.58 90.00
Atoms (fractional coordinates):
Y 0.1894 0.0752 0.3928
Y 0.1894 0.4248 0.8928
Y 0.2155 0.7069 0.4127
Y 0.2155 0.7931 0.9127
Y 0.7845 0.2069 0.0873
Y 0.7845 0.2931 0.5873
Y 0.8106 0.5752 0.1072
Y 0.8106 0.9248 0.6072
P 0.4182 0.1072 0.7956
P 0.4182 0.3928 0.2956
P 0.5818 0.6072 0.7044
P 0.5818 0.8928 0.2044
O 0.1954 0.2368 0.7786
O 0.1954 0.2632 0.2786
O 0.2058 0.5267 0.2811
O 0.2058 0.9733 0.7811
O 0.2475 0.6051 0.0194
O 0.2475 0.8949 0.5194
O 0.3448 0.6044 0.5842
O 0.3448 0.8956 0.0842
O 0.4010 0.6078 0.8077
O 0.4010 0.8922 0.3077
O 0.5990 0.1078 0.6923
O 0.5990 0.3922 0.1923
O 0.6552 0.1044 0.9158
O 0.6552 0.3956 0.4158
O 0.7525 0.1051 0.4806
O 0.7525 0.3949 0.9806
O 0.7942 0.0267 0.2189
O 0.7942 0.4733 0.7189
O 0.8046 0.7368 0.7214
O 0.8046 0.7632 0.2214

The 10 most intense peaks (10° ≤ 2θ ≤ 90°), by angle:
d (Å)	I/Imax
7.494	46.4
3.678	55.8
3.448	25.3
3.138	85.7
3.027	58.8
2.988	100.0
2.859	84.0
2.543	21.2
2.018	24.7
1.998	23.0

The following is a theoretical XRD peak list of YZnPO. It was derived from a DFT-relaxed cell (PBE, Alexandria), using Cu Kα X-rays.
No peak broadening, texture or thermal motion is included.

Cell and atoms:
Lattice parameters (Å, degrees): 10.4057 10.4057 10.4057 21.65 21.65 21.65
Atoms (fractional coordinates):
Y 0.1202 0.1202 0.1202
Y 0.8798 0.8798 0.8798
Zn 0.3038 0.3038 0.3038
Zn 0.6962 0.6962 0.6962
P 0.3881 0.3881 0.3881
P 0.6119 0.6119 0.6119
O 0.1947 0.1947 0.1947
O 0.8053 0.8053 0.8053

The 10 most intense peaks (10° ≤ 2θ ≤ 90°), by angle:
d (Å)	I/Imax
3.304	36.3
3.093	91.1
2.959	75.8
2.672	40.0
2.540	40.6
2.265	66.2
2.144	16.3
1.954	100.0
1.660	28.1
1.549	50.5

The following is a theoretical XRD peak list of YbP3O10. It was derived from a DFT-relaxed cell (PBE, Alexandria), using Cu Kα X-rays.
No peak broadening, texture or thermal motion is included.

Cell and atoms:
Lattice parameters (Å, degrees): 7.0335 7.0335 5.6095 111.98 111.98 56.51
Atoms (fractional coordinates):
Yb 0.0000 0.0000 0.0000
P 0.1062 0.5606 0.3397
P 0.4394 0.8938 0.6603
P 0.6367 0.3633 0.5000
O 0.0026 0.3961 0.2084
O 0.0239 0.7235 0.5920
O 0.0735 0.6877 0.1478
O 0.2765 0.9761 0.4080
O 0.3123 0.9265 0.8522
O 0.3843 0.3912 0.4313
O 0.6039 0.9974 0.7916
O 0.6088 0.6157 0.5687
O 0.7427 0.2250 0.2628
O 0.7750 0.2573 0.7372

The 10 most intense peaks (10° ≤ 2θ ≤ 90°), by angle:
d (Å)	I/Imax
5.727	62.8
5.608	48.5
4.289	100.0
3.446	36.9
3.369	34.8
3.260	31.0
2.863	21.0
2.804	16.9
2.764	19.8
2.019	15.0